Structure and simulated powder XRD pattern of LiFe2OF3 (a DFT-relaxed cell (GGA+U, Alexandria); copper Kα).

Structure:
abc: 6.0751 6.2198 8.8551
angles: 90.00 90.00 90.00
Fractional coordinates of all 28 atoms:
Li: 0.0000 0.2398 0.2500
Li: 0.0000 0.7602 0.7500
Li: 0.2403 0.5000 0.0000
Li: 0.7597 0.5000 0.5000
Fe: 0.2412 0.2211 0.6439
Fe: 0.2412 0.7789 0.3561
Fe: 0.2431 0.0000 0.0000
Fe: 0.5000 0.2451 0.2500
Fe: 0.5000 0.7549 0.7500
Fe: 0.7569 0.0000 0.5000
Fe: 0.7588 0.2211 0.8561
Fe: 0.7588 0.7789 0.1439
O: 0.2524 0.0217 0.2230
O: 0.2524 0.9783 0.7770
O: 0.7476 0.0217 0.2770
O: 0.7476 0.9783 0.7230
F: 0.0008 0.2687 0.0077
F: 0.0008 0.7313 0.9923
F: 0.2552 0.4913 0.2346
F: 0.2552 0.5087 0.7654
F: 0.4944 0.2705 0.0016
F: 0.4944 0.7295 0.9984
F: 0.5056 0.2705 0.4984
F: 0.5056 0.7295 0.5016
F: 0.7448 0.4913 0.2654
F: 0.7448 0.5087 0.7346
F: 0.9992 0.2687 0.4923
F: 0.9992 0.7313 0.5077

Principal peaks in the range 10° ≤ 2θ ≤ 90°, in order of rising 2θ:
2θ = 22.8°, rel. 56, (1 1 1); 2θ = 28.8°, rel. 100, (0 2 0); 2θ = 33.8°, rel. 41, (1 0 3); 2θ = 33.9°, rel. 76, (1 2 1); 2θ = 34.4°, rel. 84, (2 1 1); 2θ = 59.6°, rel. 80, (2 2 4)